Diffraction record for CeCrSe2O. The powder diffraction line list is simulated, not measured: it uses a structure optimized by DFT (PBE+U) and Cu Kα.
Intensities are scaled so that the largest is 100.

Structural model:
Unit cell a=6.0987 b=6.0987 c=8.4043 alpha=90.56 beta=90.56 gamma=37.49
Atoms (fractional coordinates):
Ce (0.2285, 0.2285, 0.3080)
Ce (0.7715, 0.7715, 0.6920)
Cr (0.0000, 0.0000, 0.0000)
Cr (0.5000, 0.5000, 0.5000)
Se (0.0532, 0.0532, 0.7043)
Se (0.3546, 0.3546, 0.9633)
Se (0.6454, 0.6454, 0.0367)
Se (0.9468, 0.9468, 0.2957)
O (0.3278, 0.3278, 0.5626)
O (0.6722, 0.6722, 0.4374)

Principal peaks in the range 2θ = 10–80°, most intense first:
- 34.43 deg, I = 100
- 32.12 deg, I = 62
- 32.68 deg, I = 50
- 31.95 deg, I = 37
- 46.33 deg, I = 30
- 26.26 deg, I = 30
- 39.05 deg, I = 27
- 40.40 deg, I = 25
- 55.24 deg, I = 20
- 57.85 deg, I = 18